No. 1
For PuScSi2, a GGA-PBE-relaxed structure gives the calculated X-ray powder pattern in this record (Cu Kα (λ = 1.5418 Å)).
Intensities are scaled so that the largest is 100.

Crystal structure
Unit cell a=3.7117 b=5.5790 c=5.5790 alpha=44.15 beta=90.00 gamma=90.00
Atoms (fractional coordinates):
Pu1 0.0000 0.0000 0.0000
Sc1 0.5000 0.7191 0.7191
Si1 0.0000 0.2787 0.2787
Si2 0.5000 0.4309 0.4309

Main lines, by angle (10° ≤ 2θ ≤ 90°):
| 2theta | I/Imax |
| --- | --- |
| 17.15 | 55.3 |
| 22.89 | 63.9 |
| 23.98 | 27.3 |
| 29.63 | 49.0 |
| 33.38 | 100.0 |
| 33.66 | 48.4 |
| 34.70 | 25.2 |
| 41.75 | 46.1 |
| 42.62 | 20.6 |
| 43.15 | 19.0 |
| 49.10 | 22.0 |
| 53.20 | 23.0 |

***

No. 2
For Sm14PuSc, a GGA-PBE-relaxed structure gives the calculated X-ray powder pattern in this record (Cu Kα (λ = 1.5418 Å)).
Intensities are scaled so that the largest is 100.

Crystal structure
Unit cell a=7.1776 b=7.1776 c=12.4077 alpha=106.59 beta=106.59 gamma=60.17
Atoms (fractional coordinates):
Sm1 0.0000 0.0000 0.0000
Sm2 0.0000 0.5000 0.0000
Sm3 0.0000 0.5000 0.5000
Sm4 0.2480 0.2480 0.7478
Sm5 0.2489 0.7496 0.7436
Sm6 0.2504 0.7511 0.2564
Sm7 0.2508 0.2508 0.2520
Sm8 0.5000 0.0000 0.0000
Sm9 0.5000 0.0000 0.5000
Sm10 0.5000 0.5000 0.0000
Sm11 0.7492 0.7492 0.7480
Sm12 0.7496 0.2489 0.7436
Sm13 0.7511 0.2504 0.2564
Sm14 0.7520 0.7520 0.2522
Pu1 0.0000 0.0000 0.5000
Sc1 0.5000 0.5000 0.5000

Main lines, by angle (10° ≤ 2θ ≤ 90°):
| 2theta | I/Imax |
| --- | --- |
| 30.50 | 100.0 |
| 35.30 | 33.9 |
| 35.47 | 16.7 |
| 50.79 | 12.1 |
| 50.91 | 23.9 |
| 60.40 | 28.6 |
| 60.63 | 14.1 |
| 63.45 | 9.3 |
| 74.67 | 3.8 |
| 82.93 | 8.8 |
| 85.46 | 8.1 |
| 85.77 | 5.4 |

***

No. 3
For Tb5PuSc, a GGA-PBE-relaxed structure gives the calculated X-ray powder pattern in this record (Cu Kα (λ = 1.5418 Å)).
Intensities are scaled so that the largest is 100.

Crystal structure
Unit cell a=7.1502 b=7.1502 c=5.6727 alpha=97.92 beta=97.92 gamma=73.07
Atoms (fractional coordinates):
Tb1 0.0000 0.0000 0.0000
Tb2 0.2429 0.2429 0.5993
Tb3 0.3132 0.6868 0.5000
Tb4 0.6868 0.3132 0.5000
Tb5 0.7571 0.7571 0.4007
Pu1 0.0000 0.0000 0.5000
Sc1 0.5000 0.5000 0.0000

Main lines, by angle (10° ≤ 2θ ≤ 90°):
| 2theta | I/Imax |
| --- | --- |
| 13.01 | 46.2 |
| 15.66 | 55.3 |
| 15.86 | 100.0 |
| 20.87 | 42.1 |
| 29.29 | 24.0 |
| 31.62 | 60.1 |
| 32.03 | 37.4 |
| 32.18 | 21.7 |
| 32.53 | 44.3 |
| 33.39 | 25.7 |
| 35.76 | 28.5 |
| 45.27 | 35.6 |